1.
This entry pairs a crystal structure of TbSm3S4 with its simulated powder X-ray diffraction pattern. Radiation: a wavelength of 1.5418 Å. Structure: a DFT-relaxed cell (GGA-PBE, Alexandria).
Neutral-atom scattering factors, no anomalous dispersion.

Atomic structure:
abc: 5.643 5.643 5.643
angles: 90.00 90.00 90.00
Space group Pm-3m (No. 221)
Symmetry-distinct sites (fractional):
Tb 0.000 0.000 0.000
Sm 0.000 0.500 0.500
S 0.000 0.000 0.500
S 0.500 0.500 0.500

Peak list (6 most intense, 2θ = 5–70°, sorted by position)
2θ/deg	intensity	index
27.4	78	1 1 1
31.7	100	2 0 0
45.5	72	2 2 0
53.9	38	3 1 1
56.5	25	2 2 2
66.3	12	4 0 0

2.
This entry pairs a crystal structure of Tb2SmS4 with its simulated powder X-ray diffraction pattern. Radiation: a wavelength of 1.5418 Å. Structure: a DFT-relaxed cell (GGA-PBE, Alexandria).
Neutral-atom scattering factors, no anomalous dispersion.

Atomic structure:
abc: 12.063 3.882 14.073
angles: 90.00 90.00 90.00
Space group Pnma (No. 62)
Symmetry-distinct sites (fractional):
Tb 0.064 0.250 0.114
Tb 0.096 0.250 0.594
Sm 0.245 0.750 0.833
S 0.045 0.750 0.718
S 0.096 0.250 0.922
S 0.131 0.750 0.455
S 0.200 0.750 0.189

Peak list (10 most intense, 2θ = 5–70°, sorted by position)
2θ/deg	intensity	index
25.3	35	0 0 4
25.5	100	3 0 2
27.3	95	1 1 2
30.8	28	1 1 3
37.5	25	3 1 3
37.6	32	2 1 4
37.8	27	4 1 0
38.3	24	4 1 1
46.8	25	0 2 0
54.1	26	3 2 2

> What is the formula in the first record?

TbSm3S4